# ReIrOsRu
Calculated PXRD pattern, copper Kα. Input: a crystal structure in Alexandria, relaxed with GGA-PBE.
Neutral-atom scattering factors, no anomalous dispersion.

Principal peaks in the range 5 to 70 degrees two-theta, in order of rising 2θ:
index, d/Å, I/Imax
0 0 2, 5.313, 133
0 1 3, 2.744, 241
0 0 4, 2.656, 238
1 0 1, 2.626, 76
0 2 0, 2.170, 334
1 0 3, 2.152, 117
1 1 2, 2.110, 1000
0 1 5, 1.909, 249
0 2 4, 1.681, 122
1 0 5, 1.673, 104
1 2 3, 1.528, 79
2 0 0, 1.355, 75

Lattice parameters (Å, degrees): 2.710 4.340 10.625 90.00 90.00 90.00
Space group Imm2 (No. 44)
Asymmetric unit:
Re  0.000  0.000  0.000 (multiplicity 2)
Ir  0.000  0.500  0.267 (multiplicity 2)
Os  0.000  0.000  0.430 (multiplicity 2)
Ru  0.000  0.500  0.709 (multiplicity 2)

=====

# Ir5OsRh6
Calculated PXRD pattern, copper Kα. Input: a crystal structure in Alexandria, relaxed with GGA-PBE.
Neutral-atom scattering factors, no anomalous dispersion.

Principal peaks in the range 5 to 70 degrees two-theta, in order of rising 2θ:
index, d/Å, I/Imax
0 2 0, 3.871, 81
1 0 3, 2.720, 68
1 2 3, 2.225, 1000
0 4 0, 1.935, 164
2 0 0, 1.923, 322
2 2 0, 1.722, 38
1 4 3, 1.577, 29
2 4 0, 1.364, 209
2 0 6, 1.360, 104

Lattice parameters (Å, degrees): 3.845 7.742 11.543 90.00 90.00 90.00
Space group Immm (No. 71)
Asymmetric unit:
Ir  0.000  0.000  0.000 (multiplicity 2)
Ir  0.000  0.000  0.336 (multiplicity 4)
Ir  0.000  0.500  0.335 (multiplicity 4)
Os  0.000  0.500  0.000 (multiplicity 2)
Rh  0.000  0.247  0.500 (multiplicity 4)
Rh  0.000  0.251  0.167 (multiplicity 8)